(1)
Structure and theoretical powder diffraction line list of Er5Co4Si14 (a structure optimized by DFT (PBE); Cu Kα).

Atomic structure:
a = 12.3393 Å, b = 7.8249 Å, c = 7.7480 Å
α = 90.00°, β = 98.84°, γ = 90.00°
Sites, in units of the cell vectors:
Er  0.0000  0.0000  0.0000
Er  0.0000  0.5000  0.5000
Er  0.3647  0.2483  0.3419
Er  0.3647  0.2517  0.8419
Er  0.3649  0.7491  0.3395
Er  0.3649  0.7509  0.8395
Er  0.6351  0.2491  0.1605
Er  0.6351  0.2509  0.6605
Er  0.6353  0.7483  0.1581
Er  0.6353  0.7517  0.6581
Co  0.9996  0.1275  0.6288
Co  0.9996  0.3725  0.1288
Co  0.0004  0.6275  0.8712
Co  0.0004  0.8725  0.3712
Co  0.2493  0.9999  0.0613
Co  0.2493  0.5001  0.5613
Co  0.7507  0.0001  0.9387
Co  0.7507  0.4999  0.4387
Si  0.0001  0.1660  0.3346
Si  0.0001  0.3340  0.8346
Si  0.9999  0.6660  0.1654
Si  0.9999  0.8340  0.6654
Si  0.1773  0.0056  0.7689
Si  0.1774  0.2263  0.5504
Si  0.1774  0.2737  0.0504
Si  0.1773  0.4944  0.2689
Si  0.1772  0.7262  0.0384
Si  0.1772  0.7738  0.5384
Si  0.1780  0.5057  0.8180
Si  0.1780  0.9943  0.3180
Si  0.4396  0.0002  0.1099
Si  0.4396  0.4998  0.6099
Si  0.4410  0.0004  0.6118
Si  0.4410  0.4996  0.1118
Si  0.5590  0.9996  0.3882
Si  0.5590  0.5004  0.8882
Si  0.5604  0.9998  0.8901
Si  0.5604  0.5002  0.3901
Si  0.8220  0.0057  0.6820
Si  0.8220  0.4943  0.1820
Si  0.8228  0.2262  0.4616
Si  0.8228  0.2738  0.9616
Si  0.8227  0.5056  0.7311
Si  0.8226  0.7263  0.9496
Si  0.8226  0.7737  0.4496
Si  0.8227  0.9944  0.2311

Largest 12 diffraction maxima, sorted by position, 2θ from 10° to 80°:
2theta  Rel. int.  h k l
21.9  42.7  3 0 0
23.9  39.2  1 2 0
25.5  59.2  1 0 2
31.7  20.3  3 2 0
32.7  23.7  0 2 2
34.4  49.5  1 2 2
36.8  28.6  5 0 0
37.4  100.0  2 2 2
37.6  55.4  3 2 -2
46.4  19.8  0 4 0
46.9  19.4  1 0 -4
53.7  19.1  1 4 2



(2)
Structure and theoretical powder diffraction line list of Er4CoSn8 (a structure optimized by DFT (PBE); Cu Kα).

Atomic structure:
a = 4.4101 Å, b = 4.4311 Å, c = 16.4769 Å
α = 90.00°, β = 90.00°, γ = 90.00°
Sites, in units of the cell vectors:
Er  0.0000  0.0000  0.0000
Er  0.0000  0.5000  0.4937
Er  0.5000  0.0000  0.7941
Er  0.5000  0.5000  0.2975
Co  0.0000  0.5000  0.7025
Sn  0.0000  0.0000  0.3326
Sn  0.0000  0.0000  0.6334
Sn  0.0000  0.5000  0.1465
Sn  0.0000  0.5000  0.8504
Sn  0.5000  0.0000  0.1507
Sn  0.5000  0.0000  0.4610
Sn  0.5000  0.5000  0.6337
Sn  0.5000  0.5000  0.9703

Largest 12 diffraction maxima, sorted by position, 2θ from 10° to 80°:
2theta  Rel. int.  h k l
32.6  18.0  0 0 6
33.0  100.0  1 1 3
38.6  8.5  1 0 6
40.7  17.7  0 2 0
40.9  17.5  2 0 0
53.1  9.3  0 2 6
53.3  9.4  2 0 6
54.2  7.8  0 1 9
58.4  8.9  1 1 9
59.1  12.1  2 2 0
69.2  20.9  1 3 3
69.5  13.8  3 1 3



(3)
Structure and theoretical powder diffraction line list of Er7Co6Sn23 (a structure optimized by DFT (PBE); Cu Kα).

Atomic structure:
a = 9.6841 Å, b = 9.6841 Å, c = 9.9516 Å
α = 90.00°, β = 90.00°, γ = 120.00°
Sites, in units of the cell vectors:
Er  0.0000  0.0000  0.0000
Er  0.0418  0.5209  0.3059
Er  0.4791  0.5209  0.3059
Er  0.4791  0.9582  0.3059
Er  0.5209  0.0418  0.6941
Er  0.5209  0.4791  0.6941
Er  0.9582  0.4791  0.6941
Co  0.1676  0.3353  0.8023
Co  0.1676  0.8324  0.8023
Co  0.3353  0.1676  0.1977
Co  0.6647  0.8324  0.8023
Co  0.8324  0.1676  0.1977
Co  0.8324  0.6647  0.1977
Sn  0.0000  0.0000  0.5000
Sn  0.0000  0.3458  0.0000
Sn  0.0000  0.6542  0.0000
Sn  0.1183  0.2366  0.2749
Sn  0.1183  0.8817  0.2749
Sn  0.2192  0.4383  0.5474
Sn  0.2192  0.7808  0.5474
Sn  0.2366  0.1183  0.7251
Sn  0.3333  0.6667  0.1184
Sn  0.3333  0.6667  0.8178
Sn  0.3458  0.0000  0.0000
Sn  0.3458  0.3458  0.0000
Sn  0.4383  0.2192  0.4526
Sn  0.5617  0.7808  0.5474
Sn  0.6542  0.0000  0.0000
Sn  0.6542  0.6542  0.0000
Sn  0.6667  0.3333  0.1822
Sn  0.6667  0.3333  0.8816
Sn  0.7634  0.8817  0.2749
Sn  0.7808  0.2192  0.4526
Sn  0.7808  0.5617  0.4526
Sn  0.8817  0.1183  0.7251
Sn  0.8817  0.7634  0.7251

Largest 12 diffraction maxima, sorted by position, 2θ from 10° to 80°:
2theta  Rel. int.  h k l
32.7  19.1  1 1 3
33.3  100.0  0 3 1
33.5  65.6  1 2 2
34.5  53.7  2 0 3
36.9  46.1  3 0 2
37.1  29.2  2 2 0
37.7  22.4  0 1 4
41.5  19.5  2 2 2
56.8  15.0  0 3 5
57.1  22.7  3 3 0
60.9  23.4  2 3 4
65.4  14.2  3 0 6